# SmMgTl
Computed powder X-ray diffraction pattern, CuKα. Input: a cell relaxed with GGA-PBE.
No peak broadening, texture or thermal motion is included.

Cell and atoms:
abc: 7.6786 7.6786 4.7385
angles: 90.00 90.00 120.00
Space group P-62m (No. 189)
Unique sites:
Sm1 0.0000 0.4288 0.0000
Mg1 0.0000 0.7573 0.5000
Tl1 0.0000 0.0000 0.0000
Tl2 0.3333 0.6667 0.5000

Largest 8 diffraction maxima, sorted by position, 15° ≤ 2θ ≤ 90°:
23.05°, I = 26, hkl 1 0 1
23.17°, I = 41, hkl 1 1 0
29.95°, I = 47, hkl 1 1 1
32.91°, I = 100, hkl 2 0 1
37.98°, I = 25, hkl 0 0 2
40.67°, I = 52, hkl 3 0 0
56.88°, I = 18, hkl 3 0 2
64.15°, I = 27, hkl 4 1 0